This entry pairs a crystal structure of Ti4CuNi12 with its calculated X-ray diffraction stick pattern. Radiation: Cu Kα (weighted mean of Kα1 and Kα2). Structure: a DFT-relaxed cell (GGA-PBE, Alexandria).
Peak positions follow from Bragg's law for the DFT cell and can differ from measured ones.

a b c (Å): 6.463 6.463 6.463
angles (deg): 109.47 109.47 109.47
Element x y z (fractional)
Ti (0.000, 0.000, 0.500)
Ti (0.000, 0.500, 0.000)
Ti (0.500, 0.000, 0.000)
Ti (0.500, 0.500, 0.500)
Cu (0.000, 0.000, 0.000)
Ni (0.000, 0.299, 0.299)
Ni (0.000, 0.701, 0.701)
Ni (0.250, 0.500, 0.750)
Ni (0.250, 0.750, 0.500)
Ni (0.299, 0.000, 0.299)
Ni (0.299, 0.299, 0.000)
Ni (0.500, 0.250, 0.750)
Ni (0.500, 0.750, 0.250)
Ni (0.701, 0.000, 0.701)
Ni (0.701, 0.701, 0.000)
Ni (0.750, 0.250, 0.500)
Ni (0.750, 0.500, 0.250)

Main lines, by intensity (2θ from 10° to 90°):
Position (°2θ)	d_spacing	I_rel
41.9	2.154	100
48.8	1.866	62
71.5	1.319	29
86.5	1.125	22
45.5	1.995	17
58.0	1.591	14
23.8	3.732	13
52.0	1.759	11
38.1	2.360	10
88.9	1.100	8


This entry pairs a crystal structure of TmCu8Ni4 with its calculated X-ray diffraction stick pattern. Radiation: Cu Kα (weighted mean of Kα1 and Kα2). Structure: a DFT-relaxed cell (GGA-PBE, Alexandria).
Peak positions follow from Bragg's law for the DFT cell and can differ from measured ones.

a b c (Å): 6.345 6.345 6.345
angles (deg): 98.33 98.33 135.26
Element x y z (fractional)
Tm (0.000, 0.000, 0.000)
Cu (0.000, 0.350, 0.350)
Cu (0.000, 0.650, 0.650)
Cu (0.279, 0.500, 0.779)
Cu (0.350, 0.000, 0.350)
Cu (0.500, 0.279, 0.779)
Cu (0.500, 0.721, 0.221)
Cu (0.650, 0.000, 0.650)
Cu (0.721, 0.500, 0.221)
Ni (0.000, 0.000, 0.500)
Ni (0.000, 0.500, 0.000)
Ni (0.500, 0.000, 0.000)
Ni (0.500, 0.500, 0.500)

Main lines, by intensity (2θ from 10° to 90°):
Position (°2θ)	d_spacing	I_rel
43.6	2.077	100
43.4	2.087	44
37.5	2.400	32
48.8	1.865	20
30.4	2.942	19
80.1	1.198	14
71.5	1.319	14
79.9	1.200	13
37.2	2.415	13
49.1	1.856	12


This entry pairs a crystal structure of TmCu2Ni9 with its calculated X-ray diffraction stick pattern. Radiation: Cu Kα (weighted mean of Kα1 and Kα2). Structure: a DFT-relaxed cell (GGA-PBE, Alexandria).
Peak positions follow from Bragg's law for the DFT cell and can differ from measured ones.

a b c (Å): 8.180 8.180 8.180
angles (deg): 33.82 33.82 33.82
Element x y z (fractional)
Tm (0.000, 0.000, 0.000)
Cu (0.147, 0.147, 0.147)
Cu (0.853, 0.853, 0.853)
Ni (0.081, 0.589, 0.589)
Ni (0.334, 0.334, 0.334)
Ni (0.411, 0.411, 0.919)
Ni (0.411, 0.919, 0.411)
Ni (0.500, 0.500, 0.500)
Ni (0.589, 0.081, 0.589)
Ni (0.589, 0.589, 0.081)
Ni (0.666, 0.666, 0.666)
Ni (0.919, 0.411, 0.411)

Main lines, by intensity (2θ from 10° to 90°):
Position (°2θ)	d_spacing	I_rel
44.8	2.025	100
37.8	2.380	28
44.1	2.053	27
73.1	1.294	24
47.2	1.926	20
34.8	2.577	18
38.0	2.366	17
80.8	1.190	16
48.4	1.882	10
26.6	3.355	8


This entry pairs a crystal structure of TmCu4Ni4 with its calculated X-ray diffraction stick pattern. Radiation: Cu Kα (weighted mean of Kα1 and Kα2). Structure: a DFT-relaxed cell (GGA-PBE, Alexandria).
Peak positions follow from Bragg's law for the DFT cell and can differ from measured ones.

a b c (Å): 5.844 5.844 5.844
angles (deg): 95.93 95.93 142.49
Element x y z (fractional)
Tm (0.000, 0.000, 0.000)
Cu (0.321, 0.321, 0.642)
Cu (0.321, 0.679, 0.000)
Cu (0.679, 0.321, 0.000)
Cu (0.679, 0.679, 0.358)
Ni (0.000, 0.344, 0.344)
Ni (0.000, 0.656, 0.656)
Ni (0.344, 0.000, 0.344)
Ni (0.656, 0.000, 0.656)

Main lines, by intensity (2θ from 10° to 90°):
Position (°2θ)	d_spacing	I_rel
42.2	2.143	100
49.4	1.845	30
87.6	1.114	20
48.4	1.879	19
71.7	1.316	18
86.1	1.129	11
35.0	2.561	10
72.5	1.304	8
26.3	3.388	8
32.4	2.767	7


This entry pairs a crystal structure of TmCu2Ni9 with its calculated X-ray diffraction stick pattern. Radiation: Cu Kα (weighted mean of Kα1 and Kα2). Structure: a DFT-relaxed cell (GGA-PBE, Alexandria).
Peak positions follow from Bragg's law for the DFT cell and can differ from measured ones.

a b c (Å): 7.975 7.975 4.693
angles (deg): 90.00 90.00 90.00
Element x y z (fractional)
Tm (0.000, 0.000, 0.000)
Tm (0.500, 0.500, 0.000)
Cu (0.115, 0.385, 0.000)
Cu (0.385, 0.885, 0.000)
Cu (0.615, 0.115, 0.000)
Cu (0.885, 0.615, 0.000)
Ni (0.000, 0.500, 0.500)
Ni (0.063, 0.209, 0.500)
Ni (0.179, 0.679, 0.239)
Ni (0.179, 0.679, 0.761)
Ni (0.209, 0.937, 0.500)
Ni (0.291, 0.437, 0.500)
Ni (0.321, 0.179, 0.239)
Ni (0.321, 0.179, 0.761)
Ni (0.437, 0.709, 0.500)
Ni (0.500, 0.000, 0.500)
Ni (0.563, 0.291, 0.500)
Ni (0.679, 0.821, 0.239)
Ni (0.679, 0.821, 0.761)
Ni (0.709, 0.563, 0.500)
Ni (0.791, 0.063, 0.500)
Ni (0.821, 0.321, 0.239)
Ni (0.821, 0.321, 0.761)
Ni (0.937, 0.791, 0.500)

Main lines, by intensity (2θ from 10° to 90°):
Position (°2θ)	d_spacing	I_rel
40.6	2.221	100
46.3	1.960	56
44.8	2.022	42
47.0	1.934	42
37.2	2.417	34
45.3	2.001	31
35.6	2.522	21
70.9	1.329	19
72.7	1.301	18
51.2	1.783	17


This entry pairs a crystal structure of Tm2Cu5Ni5 with its calculated X-ray diffraction stick pattern. Radiation: Cu Kα (weighted mean of Kα1 and Kα2). Structure: a DFT-relaxed cell (GGA-PBE, Alexandria).
Peak positions follow from Bragg's law for the DFT cell and can differ from measured ones.

a b c (Å): 4.047 4.886 8.466
angles (deg): 90.00 90.00 90.00
Element x y z (fractional)
Tm (0.000, 0.000, 0.000)
Tm (0.000, 0.500, 0.500)
Cu (0.500, 0.000, 0.500)
Cu (0.500, 0.250, 0.248)
Cu (0.500, 0.250, 0.752)
Cu (0.500, 0.750, 0.248)
Cu (0.500, 0.750, 0.752)
Ni (0.000, 0.000, 0.335)
Ni (0.000, 0.000, 0.665)
Ni (0.000, 0.500, 0.162)
Ni (0.000, 0.500, 0.838)
Ni (0.500, 0.500, 0.000)

Main lines, by intensity (2θ from 10° to 90°):
Position (°2θ)	d_spacing	I_rel
43.3	2.092	100
30.6	2.925	57
42.7	2.116	37
36.8	2.443	31
44.8	2.024	28
70.7	1.332	22
63.6	1.463	22
59.3	1.559	15
78.3	1.222	15
62.4	1.488	15


This entry pairs a crystal structure of Tm2Cu12Ni5 with its calculated X-ray diffraction stick pattern. Radiation: Cu Kα (weighted mean of Kα1 and Kα2). Structure: a DFT-relaxed cell (GGA-PBE, Alexandria).
Peak positions follow from Bragg's law for the DFT cell and can differ from measured ones.

a b c (Å): 6.364 6.364 6.364
angles (deg): 82.80 82.80 82.80
Element x y z (fractional)
Tm (0.172, 0.172, 0.172)
Tm (0.828, 0.828, 0.828)
Cu (0.153, 0.153, 0.652)
Cu (0.153, 0.652, 0.153)
Cu (0.206, 0.500, 0.794)
Cu (0.206, 0.794, 0.500)
Cu (0.348, 0.847, 0.847)
Cu (0.500, 0.206, 0.794)
Cu (0.500, 0.794, 0.206)
Cu (0.652, 0.153, 0.153)
Cu (0.794, 0.206, 0.500)
Cu (0.794, 0.500, 0.206)
Cu (0.847, 0.348, 0.847)
Cu (0.847, 0.847, 0.348)
Ni (0.000, 0.500, 0.500)
Ni (0.400, 0.400, 0.400)
Ni (0.500, 0.000, 0.500)
Ni (0.500, 0.500, 0.000)
Ni (0.600, 0.600, 0.600)

Main lines, by intensity (2θ from 10° to 90°):
Position (°2θ)	d_spacing	I_rel
43.3	2.091	100
43.0	2.104	59
37.0	2.430	41
44.1	2.054	40
30.4	2.940	34
44.4	2.042	24
48.6	1.873	22
63.3	1.470	21
38.2	2.353	21
80.5	1.193	19


This entry pairs a crystal structure of Tm2CuNi with its calculated X-ray diffraction stick pattern. Radiation: Cu Kα (weighted mean of Kα1 and Kα2). Structure: a DFT-relaxed cell (GGA-PBE, Alexandria).
Peak positions follow from Bragg's law for the DFT cell and can differ from measured ones.

a b c (Å): 5.339 4.372 7.229
angles (deg): 90.00 109.79 90.00
Element x y z (fractional)
Tm (0.217, 0.250, 0.432)
Tm (0.226, 0.250, 0.929)
Tm (0.774, 0.750, 0.071)
Tm (0.783, 0.750, 0.568)
Cu (0.349, 0.750, 0.214)
Cu (0.651, 0.250, 0.786)
Ni (0.354, 0.750, 0.714)
Ni (0.646, 0.250, 0.286)

Main lines, by intensity (2θ from 10° to 90°):
Position (°2θ)	d_spacing	I_rel
33.4	2.684	100
42.2	2.142	46
27.0	3.298	41
36.6	2.457	38
41.3	2.186	30
35.7	2.512	26
56.3	1.633	22
50.5	1.807	17
41.5	2.178	16
85.2	1.139	14


This entry pairs a crystal structure of Tm2Cu6Ni3 with its calculated X-ray diffraction stick pattern. Radiation: Cu Kα (weighted mean of Kα1 and Kα2). Structure: a DFT-relaxed cell (GGA-PBE, Alexandria).
Peak positions follow from Bragg's law for the DFT cell and can differ from measured ones.

a b c (Å): 7.016 7.016 3.841
angles (deg): 90.00 90.00 120.00
Element x y z (fractional)
Tm (0.333, 0.667, 0.000)
Tm (0.667, 0.333, 0.000)
Cu (0.000, 0.203, 0.000)
Cu (0.000, 0.750, 0.500)
Cu (0.203, 0.000, 0.000)
Cu (0.250, 0.250, 0.500)
Cu (0.750, 0.000, 0.500)
Cu (0.797, 0.797, 0.000)
Ni (0.000, 0.410, 0.500)
Ni (0.410, 0.000, 0.500)
Ni (0.590, 0.590, 0.500)

Main lines, by intensity (2θ from 10° to 90°):
Position (°2θ)	d_spacing	I_rel
34.6	2.590	100
46.0	1.971	65
39.2	2.297	39
47.3	1.921	26
37.8	2.383	24
44.7	2.025	21
63.1	1.473	18
87.1	1.119	18
25.4	3.508	17
75.9	1.253	15


This entry pairs a crystal structure of Tm3Cu2Ni3 with its calculated X-ray diffraction stick pattern. Radiation: Cu Kα (weighted mean of Kα1 and Kα2). Structure: a DFT-relaxed cell (GGA-PBE, Alexandria).
Peak positions follow from Bragg's law for the DFT cell and can differ from measured ones.

a b c (Å): 5.523 5.523 13.563
angles (deg): 90.00 90.00 137.78
Element x y z (fractional)
Tm (0.084, 0.916, 0.607)
Tm (0.084, 0.916, 0.893)
Tm (0.361, 0.639, 0.750)
Tm (0.639, 0.361, 0.250)
Tm (0.916, 0.084, 0.107)
Tm (0.916, 0.084, 0.393)
Cu (0.214, 0.786, 0.095)
Cu (0.214, 0.786, 0.405)
Cu (0.786, 0.214, 0.595)
Cu (0.786, 0.214, 0.905)
Ni (0.349, 0.651, 0.250)
Ni (0.397, 0.603, 0.540)
Ni (0.397, 0.603, 0.960)
Ni (0.603, 0.397, 0.040)
Ni (0.603, 0.397, 0.460)
Ni (0.651, 0.349, 0.750)

Main lines, by intensity (2θ from 10° to 90°):
Position (°2θ)	d_spacing	I_rel
35.9	2.503	100
35.1	2.553	60
40.0	2.254	56
45.6	1.989	37
26.2	3.398	25
39.9	2.261	25
43.9	2.063	21
34.8	2.576	19
60.4	1.532	17
37.5	2.400	17


This entry pairs a crystal structure of TmCu3Ni8 with its calculated X-ray diffraction stick pattern. Radiation: Cu Kα (weighted mean of Kα1 and Kα2). Structure: a DFT-relaxed cell (GGA-PBE, Alexandria).
Peak positions follow from Bragg's law for the DFT cell and can differ from measured ones.

a b c (Å): 4.750 4.750 7.714
angles (deg): 90.00 90.00 120.00
Element x y z (fractional)
Tm (0.000, 0.000, 0.000)
Cu (0.000, 0.000, 0.388)
Cu (0.667, 0.333, 0.497)
Cu (0.667, 0.333, 0.842)
Ni (0.164, 0.329, 0.678)
Ni (0.164, 0.836, 0.678)
Ni (0.333, 0.667, 0.433)
Ni (0.333, 0.667, 0.932)
Ni (0.504, 0.008, 0.193)
Ni (0.504, 0.496, 0.193)
Ni (0.671, 0.836, 0.678)
Ni (0.992, 0.496, 0.193)

Main lines, by intensity (2θ from 10° to 90°):
Position (°2θ)	d_spacing	I_rel
44.8	2.022	100
41.4	2.180	85
45.7	1.987	81
37.9	2.375	44
70.8	1.330	30
77.3	1.234	25
81.0	1.187	24
73.3	1.292	21
31.8	2.814	20
24.5	3.630	17


This entry pairs a crystal structure of Tm2Zn2Cu5Ni with its calculated X-ray diffraction stick pattern. Radiation: Cu Kα (weighted mean of Kα1 and Kα2). Structure: a DFT-relaxed cell (GGA-PBE, Alexandria).
Peak positions follow from Bragg's law for the DFT cell and can differ from measured ones.

a b c (Å): 9.519 9.519 3.467
angles (deg): 90.00 90.00 90.00
Element x y z (fractional)
Tm (0.178, 0.322, 0.000)
Tm (0.322, 0.822, 0.000)
Tm (0.678, 0.178, 0.000)
Tm (0.822, 0.678, 0.000)
Zn (0.122, 0.622, 0.000)
Zn (0.378, 0.122, 0.000)
Zn (0.622, 0.878, 0.000)
Zn (0.878, 0.378, 0.000)
Cu (0.000, 0.500, 0.500)
Cu (0.049, 0.811, 0.500)
Cu (0.189, 0.049, 0.500)
Cu (0.311, 0.549, 0.500)
Cu (0.451, 0.311, 0.500)
Cu (0.500, 0.000, 0.500)
Cu (0.549, 0.689, 0.500)
Cu (0.689, 0.451, 0.500)
Cu (0.811, 0.951, 0.500)
Cu (0.951, 0.189, 0.500)
Ni (0.000, 0.000, 0.000)
Ni (0.500, 0.500, 0.000)

Main lines, by intensity (2θ from 10° to 90°):
Position (°2θ)	d_spacing	I_rel
39.7	2.273	100
39.0	2.309	58
40.2	2.244	37
43.1	2.100	30
33.3	2.688	28
37.2	2.415	25
31.9	2.802	23
67.6	1.386	22
52.8	1.733	22
68.4	1.372	15